Structure and simulated PXRD pattern of Sr2YMnCu2O7 (a GGA+U-relaxed structure; CuKα).

Atomic structure:
```
data_Sr2YMnCu2O7
_symmetry_space_group_name_H-M 'I m a 2'
_symmetry_Int_Tables_number 46
_cell_length_a 23.568
_cell_length_b 5.434
_cell_length_c 5.434
_cell_angle_alpha 90.00
_cell_angle_beta 90.00
_cell_angle_gamma 90.00
loop_
_symmetry_equiv_pos_as_xyz
'x,y,z'
'-x,-y,z'
'-x+1/2,y,z'
'x+1/2,-y,z'
'x+1/2,y+1/2,z+1/2'
'-x+1/2,-y+1/2,z+1/2'
'-x,y+1/2,z+1/2'
'x,-y+1/2,z+1/2'
loop_
_atom_site_label
_atom_site_fract_x
_atom_site_fract_y
_atom_site_fract_z
_atom_site_occupancy
Sr1 0.149 0.007 0.000 1
Y1 0.000 0.000 0.003 1
Mn1 0.250 0.566 0.046 1
Cu1 0.071 0.501 0.002 1
O1 0.062 0.248 0.755 1
O2 0.062 0.748 0.751 1
O3 0.172 0.008 0.497 1
O4 0.250 0.589 0.404 1
```

Largest 10 diffraction maxima, low angle first, 10 to 80 degrees two-theta:
| 2θ (°) | I_rel | hkl |
| --- | --- | --- |
| 32.60 | 100 | 6 1 1 |
| 32.97 | 66 | 0 0 2 |
| 38.51 | 34 | 8 1 1 |
| 47.31 | 37 | 0 2 2 |
| 57.94 | 12 | 12 0 2 |
| 58.64 | 35 | 6 1 3 |
| 62.58 | 16 | 8 3 1 |
| 69.15 | 9 | 0 0 4 |
| 75.02 | 8 | 14 2 2 |
| 78.76 | 8 | 0 2 4 |